This entry pairs a crystal structure of Ta2MnZn2O8 with its simulated X-ray powder pattern. Radiation: λ = 1.5418 Å (Cu Kα). Structure: a DFT-relaxed cell (GGA+U, the Materials Project).
Neutral-atom scattering factors, no anomalous dispersion.

Top 6 peaks for 2θ = 5–70°, by angle:
| 2theta | d (Å) | I/Imax |
| --- | --- | --- |
| 22.83 | 3.895 | 393 |
| 26.21 | 3.400 | 323 |
| 27.16 | 3.284 | 435 |
| 32.03 | 2.794 | 1000 |
| 33.70 | 2.660 | 357 |
| 34.42 | 2.606 | 550 |

Cell and atoms:
a = 10.2717 Å, b = 10.2717 Å, c = 5.3198 Å
α = 90.17°, β = 90.17°, γ = 33.83°
Atoms (fractional coordinates):
Ta 0.0396 0.7264 0.7692
Ta 0.2736 0.9604 0.7308
Ta 0.7264 0.0396 0.2692
Ta 0.9604 0.2736 0.2308
Mn 0.3457 0.6543 0.2500
Mn 0.6543 0.3457 0.7500
Zn 0.1289 0.4338 0.2701
Zn 0.4338 0.1289 0.7701
Zn 0.5662 0.8711 0.2299
Zn 0.8711 0.5662 0.7299
O 0.0383 0.8179 0.4373
O 0.0737 0.2833 0.9303
O 0.1564 0.4551 0.6409
O 0.1821 0.9617 0.0627
O 0.2833 0.0737 0.4303
O 0.3120 0.5669 0.9050
O 0.4331 0.6880 0.5950
O 0.4551 0.1564 0.1409
O 0.5449 0.8436 0.8591
O 0.5669 0.3120 0.4050
O 0.6880 0.4331 0.0950
O 0.7167 0.9263 0.5697
O 0.8179 0.0383 0.9373
O 0.8436 0.5449 0.3591
O 0.9263 0.7167 0.0697
O 0.9617 0.1821 0.5627